# CaBi2B2O7
Calculated powder diffractogram, CuKα. Input: a cell relaxed with GGA-PBE.
Lines closer than 0.1° are merged.

Atomic structure:
```
CaBi2B2O7
1.0
9.0028 0.0000 0.0000
0.0000 12.7438 0.0000
0.0000 0.0000 5.5920
Ca Bi B O
4 8 8 28
direct
0.1814 0.2500 0.0561
0.3186 0.7500 0.5561
0.6814 0.2500 0.4439
0.8186 0.7500 0.9439
0.1616 0.5921 0.0694
0.1616 0.9079 0.0694
0.3384 0.0921 0.5694
0.3384 0.4079 0.5694
0.6616 0.5921 0.4306
0.6616 0.9079 0.4306
0.8384 0.0921 0.9306
0.8384 0.4079 0.9306
0.0323 0.1208 0.5184
0.0323 0.3792 0.5184
0.4677 0.6208 0.0184
0.4677 0.8792 0.0184
0.5323 0.1208 0.9816
0.5323 0.3792 0.9816
0.9677 0.6208 0.4816
0.9677 0.8792 0.4816
0.1120 0.1117 0.3102
0.1120 0.3883 0.3102
0.1149 0.1211 0.7335
0.1149 0.3789 0.7335
0.1179 0.7500 0.9668
0.1199 0.6260 0.4624
0.1199 0.8740 0.4624
0.3801 0.1260 0.9624
0.3801 0.3740 0.9624
0.3821 0.2500 0.4668
0.3851 0.6211 0.2335
0.3851 0.8789 0.2335
0.3880 0.6117 0.8102
0.3880 0.8883 0.8102
0.6120 0.1117 0.1898
0.6120 0.3883 0.1898
0.6149 0.1211 0.7665
0.6149 0.3789 0.7665
0.6179 0.7500 0.5332
0.6199 0.6260 0.0376
0.6199 0.8740 0.0376
0.8801 0.1260 0.5376
0.8801 0.3740 0.5376
0.8821 0.2500 0.0332
0.8851 0.6211 0.2665
0.8851 0.8789 0.2665
0.8880 0.6117 0.6898
0.8880 0.8883 0.6898
```

Top 10 peaks for 2θ from 10° to 80°, by angle:
- 2θ 18.68, intensity 33, hkl 1 0 1
- 2θ 19.95, intensity 40, hkl 1 1 1
- 2θ 20.93, intensity 23, hkl 2 1 0
- 2θ 28.01, intensity 26, hkl 0 4 0
- 2θ 28.18, intensity 100, hkl 1 3 1
- 2θ 28.90, intensity 49, hkl 2 3 0
- 2θ 33.90, intensity 47, hkl 3 0 1
- 2θ 43.66, intensity 25, hkl 2 3 2
- 2θ 49.45, intensity 27, hkl 3 3 2
- 2θ 55.49, intensity 22, hkl 3 6 1